# Y3Te5Pt
Calculated PXRD pattern, Cu Kα (weighted mean of Kα1 and Kα2). Input: a DFT-relaxed cell (PBE, OQMD).
Peak positions follow from Bragg's law for the DFT cell and can differ from measured ones.

Structural model:
a = 8.6970 Å, b = 8.6970 Å, c = 4.1111 Å
α = 90.00°, β = 90.00°, γ = 120.00°
Atoms (fractional coordinates):
Y (0.0000, 0.2729, 0.0000)
Y (0.2729, 0.0000, 0.0000)
Y (0.7271, 0.7271, 0.0000)
Te (0.0000, 0.6976, 0.5000)
Te (0.3024, 0.3024, 0.5000)
Te (0.3333, 0.6667, 0.0000)
Te (0.6667, 0.3333, 0.0000)
Te (0.6976, 0.0000, 0.5000)
Pt (0.0000, 0.0000, 0.5000)

Top 10 peaks for 15 to 90 degrees two-theta, sorted by position:
24.7°, I = 49, (1 0 1)
29.9°, I = 100, (1 1 1)
32.2°, I = 31, (2 0 1)
35.8°, I = 96, (3 0 0)
38.5°, I = 66, (2 1 1)
44.1°, I = 24, (0 0 2)
48.9°, I = 20, (3 1 1)
58.0°, I = 68, (3 0 2)
73.8°, I = 23, (5 1 1)
81.2°, I = 16, (3 3 2)



# TlPt15
Calculated PXRD pattern, Cu Kα (weighted mean of Kα1 and Kα2). Input: a DFT-relaxed cell (PBE, OQMD).
Peak positions follow from Bragg's law for the DFT cell and can differ from measured ones.

Structural model:
a = 7.8814 Å, b = 2.7996 Å, c = 36.0982 Å
α = 90.00°, β = 90.05°, γ = 90.00°
Atoms (fractional coordinates):
Tl (0.1247, 0.2500, 0.3102)
Tl (0.8753, 0.7500, 0.6898)
Pt (0.1161, 0.2500, 0.7434)
Pt (0.1181, 0.2500, 0.8239)
Pt (0.1232, 0.2500, 0.9025)
Pt (0.1255, 0.2500, 0.1366)
Pt (0.1248, 0.2500, 0.2180)
Pt (0.1260, 0.2500, 0.0578)
Pt (0.1260, 0.2500, 0.9801)
Pt (0.3657, 0.7500, 0.2569)
Pt (0.3680, 0.7500, 0.1764)
Pt (0.3732, 0.7500, 0.0977)
Pt (0.3750, 0.7500, 0.7129)
Pt (0.3749, 0.7500, 0.7878)
Pt (0.3753, 0.7500, 0.8630)
Pt (0.3758, 0.7500, 0.0192)
Pt (0.3761, 0.7500, 0.9406)
Pt (0.6239, 0.2500, 0.0594)
Pt (0.6242, 0.2500, 0.9808)
Pt (0.6247, 0.2500, 0.1370)
Pt (0.6251, 0.2500, 0.2122)
Pt (0.6250, 0.2500, 0.2871)
Pt (0.6268, 0.2500, 0.9023)
Pt (0.6320, 0.2500, 0.8236)
Pt (0.6343, 0.2500, 0.7431)
Pt (0.8740, 0.7500, 0.0199)
Pt (0.8740, 0.7500, 0.9422)
Pt (0.8752, 0.7500, 0.7820)
Pt (0.8745, 0.7500, 0.8634)
Pt (0.8768, 0.7500, 0.0975)
Pt (0.8819, 0.7500, 0.1761)
Pt (0.8839, 0.7500, 0.2566)

Top 10 peaks for 15 to 90 degrees two-theta, sorted by position:
37.6°, I = 39, (2 0 12)
39.5°, I = 100, (2 1 0)
39.7°, I = 54, (2 0 13)
44.2°, I = 26, (0 1 12)
46.1°, I = 63, (4 0 0)
65.7°, I = 15, (4 1 12)
66.9°, I = 11, (0 2 0)
67.2°, I = 24, (4 1 13)
80.8°, I = 13, (6 1 0)
85.0°, I = 11, (4 2 0)



# TlPt15
Calculated PXRD pattern, Cu Kα (weighted mean of Kα1 and Kα2). Input: a DFT-relaxed cell (PBE, OQMD).
Peak positions follow from Bragg's law for the DFT cell and can differ from measured ones.

Structural model:
a = 3.9494 Å, b = 3.9504 Å, c = 45.1468 Å
α = 90.00°, β = 90.00°, γ = 90.00°
Atoms (fractional coordinates):
Tl (0.2500, 0.0000, 0.1548)
Tl (0.7500, 0.0000, 0.8452)
Pt (0.2500, 0.0000, 0.2579)
Pt (0.2500, 0.0000, 0.3455)
Pt (0.2500, 0.0000, 0.4339)
Pt (0.2500, 0.0000, 0.5220)
Pt (0.2500, 0.0000, 0.6103)
Pt (0.2500, 0.0000, 0.6985)
Pt (0.2500, 0.0000, 0.7872)
Pt (0.2500, 0.5000, 0.2128)
Pt (0.2500, 0.5000, 0.3015)
Pt (0.2500, 0.5000, 0.3897)
Pt (0.2500, 0.5000, 0.4779)
Pt (0.2500, 0.5000, 0.5662)
Pt (0.2500, 0.5000, 0.6542)
Pt (0.2500, 0.5000, 0.7435)
Pt (0.2500, 0.5000, 0.8297)
Pt (0.7500, 0.0000, 0.2128)
Pt (0.7500, 0.0000, 0.3015)
Pt (0.7500, 0.0000, 0.3897)
Pt (0.7500, 0.0000, 0.4780)
Pt (0.7500, 0.0000, 0.5661)
Pt (0.7500, 0.0000, 0.6545)
Pt (0.7500, 0.0000, 0.7421)
Pt (0.7500, 0.5000, 0.1703)
Pt (0.7500, 0.5000, 0.2565)
Pt (0.7500, 0.5000, 0.3458)
Pt (0.7500, 0.5000, 0.4338)
Pt (0.7500, 0.5000, 0.5221)
Pt (0.7500, 0.5000, 0.6103)
Pt (0.7500, 0.5000, 0.6985)
Pt (0.7500, 0.5000, 0.7872)

Top 10 peaks for 15 to 90 degrees two-theta, sorted by position:
39.0°, I = 100, (1 1 11)
40.2°, I = 40, (1 1 12)
46.0°, I = 46, (2 0 0)
46.3°, I = 12, (0 0 23)
65.6°, I = 13, (2 0 22)
67.0°, I = 15, (2 2 0)
67.2°, I = 17, (2 0 23)
80.0°, I = 11, (1 1 34)
80.4°, I = 26, (3 1 11)
81.1°, I = 11, (3 1 12)



# TlPt7
Calculated PXRD pattern, Cu Kα (weighted mean of Kα1 and Kα2). Input: a DFT-relaxed cell (PBE, OQMD).
Peak positions follow from Bragg's law for the DFT cell and can differ from measured ones.

Structural model:
a = 2.8364 Å, b = 3.9068 Å, c = 34.5502 Å
α = 90.00°, β = 90.00°, γ = 90.00°
Atoms (fractional coordinates):
Tl (0.2500, 0.2500, 0.1821)
Tl (0.7500, 0.7500, 0.8179)
Pt (0.2500, 0.2500, 0.2751)
Pt (0.2500, 0.2500, 0.3577)
Pt (0.2500, 0.2500, 0.4391)
Pt (0.2500, 0.2500, 0.5204)
Pt (0.2500, 0.2500, 0.6016)
Pt (0.2500, 0.2500, 0.6832)
Pt (0.2500, 0.2500, 0.7646)
Pt (0.7500, 0.7500, 0.2354)
Pt (0.7500, 0.7500, 0.3168)
Pt (0.7500, 0.7500, 0.3984)
Pt (0.7500, 0.7500, 0.4796)
Pt (0.7500, 0.7500, 0.5609)
Pt (0.7500, 0.7500, 0.6423)
Pt (0.7500, 0.7500, 0.7249)

Top 10 peaks for 15 to 90 degrees two-theta, sorted by position:
38.9°, I = 69, (0 1 12)
39.3°, I = 100, (1 1 0)
41.1°, I = 20, (0 1 13)
44.9°, I = 46, (1 0 12)
46.5°, I = 31, (0 2 0)
46.8°, I = 15, (1 0 13)
66.6°, I = 29, (1 2 12)
78.4°, I = 15, (1 1 24)
79.2°, I = 18, (2 1 12)
81.3°, I = 21, (1 3 0)